Structure and simulated powder diffraction line list of Tc2Te3 (a crystal structure in Alexandria, relaxed with PBE; copper Kα).
Intensities are scaled so that the largest is 100.

The 8 most intense peaks (10 to 90 degrees two-theta), most intense first:
- d = 2.722 Å, rel. 100, (1 3 1)
- d = 2.140 Å, rel. 66, (3 3 -1)
- d = 6.151 Å, rel. 56, (1 1 0)
- d = 2.222 Å, rel. 38, (2 0 -2)
- d = 2.126 Å, rel. 37, (1 7 0)
- d = 3.387 Å, rel. 34, (1 3 -1)
- d = 2.616 Å, rel. 33, (0 6 0)
- d = 2.509 Å, rel. 32, (2 4 -1)

Crystal structure
Cell lengths 7.1366, 15.6935, 4.6742 Å; angles 90.00, 110.46, 90.00 degrees
Space group Cc (No. 9)
One atom of each set of equivalent atoms:
1 Tc 0.0000 0.0734 0.0000 (multiplicity 4)
2 Tc 0.4805 0.2850 0.9774 (multiplicity 4)
3 Te 0.1600 0.2256 0.0747 (multiplicity 4)
4 Te 0.1787 0.3883 0.6500 (multiplicity 4)
5 Te 0.2077 0.0717 0.6083 (multiplicity 4)